Starting from the GGA+U geometry in Alexandria, the X-ray powder pattern of Fe3BO5 was computed for Cu Kα X-rays.
No peak broadening, texture or thermal motion is included.

Top 10 peaks for 2θ from 5° to 70°, sorted by position:
- 16.44 deg, d 5.391, I = 40
- 17.47 deg, d 5.076, I = 22
- 18.34 deg, d 4.838, I = 21
- 33.26 deg, d 2.694, I = 91
- 34.34 deg, d 2.611, I = 100
- 35.37 deg, d 2.538, I = 52
- 37.16 deg, d 2.419, I = 25
- 43.65 deg, d 2.074, I = 49
- 44.11 deg, d 2.053, I = 37
- 59.59 deg, d 1.551, I = 40

Lattice parameters (Å, degrees): 5.585 3.102 10.800 90.00 93.36 90.00
Fractional coordinates of all 18 atoms:
Fe1 0.000 0.000 0.000
Fe2 0.000 0.000 0.500
Fe3 0.219 0.500 0.273
Fe4 0.500 0.000 0.500
Fe5 0.500 0.500 0.000
Fe6 0.781 0.500 0.727
B1 0.286 0.000 0.758
B2 0.714 0.000 0.242
O1 0.064 0.000 0.692
O2 0.179 0.500 0.088
O3 0.233 0.500 0.468
O4 0.295 0.000 0.887
O5 0.497 0.000 0.697
O6 0.503 0.000 0.303
O7 0.705 0.000 0.113
O8 0.767 0.500 0.532
O9 0.821 0.500 0.912
O10 0.936 0.000 0.308